Record 1
Er7TmHg4: computed X-ray powder pattern (Cu Kα X-rays), based on a DFT-relaxed cell (PBE, Alexandria).

Structural model:
```
data_Er7TmHg4
_chemical_formula_sum 'Er14 Tm2 Hg8'
_symmetry_space_group_name_H-M 'C 1 2/m 1'
_symmetry_Int_Tables_number 12
_cell_length_a 14.4684
_cell_length_b 5.6383
_cell_length_c 9.6516
_cell_angle_alpha 90.00
_cell_angle_beta 122.19
_cell_angle_gamma 90.00
loop_
_symmetry_equiv_pos_as_xyz
'x,y,z'
'-x,-y,-z'
'-x,y,-z'
'x,-y,z'
'x+1/2,y+1/2,z'
'-x+1/2,-y+1/2,-z'
'-x+1/2,y+1/2,-z'
'x+1/2,-y+1/2,z'
loop_
_atom_site_label
_atom_site_type_symbol
_atom_site_fract_x
_atom_site_fract_y
_atom_site_fract_z
Er1 Er 0.0000 0.0000 0.0000
Er2 Er 0.0670 0.5000 0.4056
Er3 Er 0.2086 0.5000 0.8851
Er4 Er 0.2346 0.0000 0.6873
Tm1 Tm 0.0000 0.5000 0.0000
Hg1 Hg 0.0472 0.0000 0.7249
Hg2 Hg 0.1885 0.0000 0.3398
```

Main lines, low angle first (10° ≤ 2θ ≤ 90°):
(4 0 -3), 30.1°, I 48.5; (1 1 2), 30.9°, I 43.2; (0 2 0), 31.7°, I 100.0; (3 1 -3), 32.3°, I 30.9; (3 1 1), 33.3°, I 33.7; (5 1 -1), 35.9°, I 74.8; (5 1 -3), 37.4°, I 27.8; (4 2 -3), 44.3°, I 34.4

Record 2
Er3Tm4Hg4: computed X-ray powder pattern (Cu Kα X-rays), based on a DFT-relaxed cell (PBE, Alexandria).

Structural model:
```
data_Er3Tm4Hg4
_chemical_formula_sum 'Er6 Tm8 Hg8'
_symmetry_space_group_name_H-M 'I m m m'
_symmetry_Int_Tables_number 71
_symmetry_space_group_name_Hall '-I 2 2'
_cell_length_a 5.1389
_cell_length_b 7.0764
_cell_length_c 16.5559
_cell_angle_alpha 90.00
_cell_angle_beta 90.00
_cell_angle_gamma 90.00
loop_
_atom_site_label
_atom_site_type_symbol
_atom_site_fract_x
_atom_site_fract_y
_atom_site_fract_z
Er1 Er 0.0000 0.0000 0.0000
Er2 Er 0.0000 0.5000 0.1021
Tm1 Tm 0.0000 0.2651 0.3211
Hg1 Hg 0.0000 0.0000 0.1834
Hg2 Hg 0.0000 0.2104 0.5000
```

Main lines, low angle first (10° ≤ 2θ ≤ 90°):
(0 1 5), 29.8°, I 23.4; (1 2 1), 31.2°, I 100.0; (0 0 6), 32.4°, I 22.9; (1 2 3), 34.8°, I 19.0; (2 0 0), 34.9°, I 47.5; (1 1 6), 39.2°, I 22.0; (1 2 5), 41.3°, I 34.9; (1 2 11), 70.4°, I 21.1

Record 3
Er2TmHg9: computed X-ray powder pattern (Cu Kα X-rays), based on a DFT-relaxed cell (PBE, Alexandria).

Structural model:
```
data_Er2TmHg9
_chemical_formula_sum 'Er2 Tm1 Hg9'
_symmetry_space_group_name_H-M 'P 4/m m m'
_symmetry_Int_Tables_number 123
_symmetry_space_group_name_Hall '-P 4 2'
_cell_length_a 4.6918
_cell_length_b 4.6918
_cell_length_c 13.1048
_cell_angle_alpha 90.00
_cell_angle_beta 90.00
_cell_angle_gamma 90.00
loop_
_atom_site_label
_atom_site_type_symbol
_atom_site_fract_x
_atom_site_fract_y
_atom_site_fract_z
Er1 Er 0.0000 0.0000 0.1674
Tm1 Tm 0.0000 0.0000 0.5000
Hg1 Hg 0.0000 0.5000 0.0000
Hg2 Hg 0.0000 0.5000 0.3341
Hg3 Hg 0.5000 0.5000 0.1671
Hg4 Hg 0.5000 0.5000 0.5000
```

Main lines, low angle first (10° ≤ 2θ ≤ 90°):
(1 1 3), 33.9°, I 100.0; (2 0 0), 38.4°, I 36.0; (0 0 6), 41.3°, I 14.7; (2 2 0), 55.4°, I 12.6; (2 0 6), 57.7°, I 22.3; (3 1 3), 66.6°, I 29.2; (1 1 9), 70.6°, I 12.3; (2 2 6), 71.4°, I 12.0

Record 4
ErTmHg3: computed X-ray powder pattern (Cu Kα X-rays), based on a DFT-relaxed cell (PBE, Alexandria).

Structural model:
```
data_ErTmHg3
_chemical_formula_sum 'Er4 Tm4 Hg12'
_symmetry_space_group_name_H-M 'I -4 m 2'
_symmetry_Int_Tables_number 119
_symmetry_space_group_name_Hall 'I -4 -2'
_cell_length_a 5.6716
_cell_length_b 5.6716
_cell_length_c 21.3138
_cell_angle_alpha 90.00
_cell_angle_beta 90.00
_cell_angle_gamma 90.00
loop_
_atom_site_label
_atom_site_type_symbol
_atom_site_fract_x
_atom_site_fract_y
_atom_site_fract_z
Er1 Er 0.0000 0.0000 0.0000
Er2 Er 0.0000 0.5000 0.2500
Tm1 Tm 0.0000 0.0000 0.4154
Hg1 Hg 0.0000 0.2458 0.1284
Hg2 Hg 0.0000 0.5000 0.5359
```

Main lines, low angle first (10° ≤ 2θ ≤ 90°):
(1 0 1), 16.2°, I 70.2; (1 0 5), 26.2°, I 43.7; (2 0 0), 31.5°, I 53.3; (2 0 2), 32.7°, I 78.2; (1 0 7), 33.4°, I 100.0; (2 1 3), 37.7°, I 80.9; (2 1 5), 41.4°, I 46.3; (2 2 4), 48.5°, I 41.5

Record 5
Y3ErHg6: computed X-ray powder pattern (Cu Kα X-rays), based on a DFT-relaxed cell (PBE, Alexandria).

Structural model:
```
data_Y3ErHg6
_chemical_formula_sum 'Y6 Er2 Hg12'
_symmetry_space_group_name_H-M 'P 1 21/m 1'
_symmetry_Int_Tables_number 11
_cell_length_a 9.1487
_cell_length_b 5.1464
_cell_length_c 11.1129
_cell_angle_alpha 90.00
_cell_angle_beta 106.75
_cell_angle_gamma 90.00
loop_
_symmetry_equiv_pos_as_xyz
'x,y,z'
'-x,-y,-z'
'-x,y+1/2,-z'
'x,-y+1/2,z'
loop_
_atom_site_label
_atom_site_type_symbol
_atom_site_fract_x
_atom_site_fract_y
_atom_site_fract_z
Y1 Y 0.0175 0.2500 0.3870
Y2 Y 0.1473 0.7500 0.2038
Y3 Y 0.2711 0.2500 0.9917
Er1 Er 0.4394 0.2500 0.6072
Hg1 Hg 0.0350 0.7500 0.9104
Hg2 Hg 0.1547 0.2500 0.6995
Hg3 Hg 0.2593 0.7500 0.4930
Hg4 Hg 0.3426 0.2500 0.3128
Hg5 Hg 0.3583 0.7500 0.8051
Hg6 Hg 0.4376 0.7500 0.1074
```

Main lines, low angle first (10° ≤ 2θ ≤ 90°):
(2 0 -4), 34.0°, I 49.2; (3 1 -1), 34.2°, I 98.1; (1 1 3), 34.6°, I 100.0; (0 2 0), 34.9°, I 50.1; (2 2 -4), 49.5°, I 34.5; (6 0 -2), 60.7°, I 22.4; (2 0 6), 61.8°, I 27.3; (1 3 3), 62.3°, I 18.6

Record 6
Y5ErHg4: computed X-ray powder pattern (Cu Kα X-rays), based on a DFT-relaxed cell (PBE, Alexandria).

Structural model:
```
data_Y5ErHg4
_chemical_formula_sum 'Y5 Er1 Hg4'
_symmetry_space_group_name_H-M 'P 4/m m m'
_symmetry_Int_Tables_number 123
_symmetry_space_group_name_Hall '-P 4 2'
_cell_length_a 3.6847
_cell_length_b 3.6847
_cell_length_c 20.0515
_cell_angle_alpha 90.00
_cell_angle_beta 90.00
_cell_angle_gamma 90.00
loop_
_atom_site_label
_atom_site_type_symbol
_atom_site_fract_x
_atom_site_fract_y
_atom_site_fract_z
Y1 Y 0.0000 0.0000 0.0000
Y2 Y 0.0000 0.0000 0.1886
Y3 Y 0.0000 0.0000 0.3790
Er1 Er 0.5000 0.5000 0.5000
Hg1 Hg 0.5000 0.5000 0.0950
Hg2 Hg 0.5000 0.5000 0.2847
```

Main lines, low angle first (10° ≤ 2θ ≤ 90°):
(0 0 5), 22.2°, I 9.6; (1 0 0), 24.2°, I 15.7; (1 0 5), 33.0°, I 100.0; (1 1 0), 34.4°, I 51.8; (1 0 6), 36.3°, I 10.6; (2 0 0), 49.5°, I 18.6; (1 1 10), 58.0°, I 12.6; (2 1 5), 60.8°, I 34.7

Record 7
YEr2Hg5: computed X-ray powder pattern (Cu Kα X-rays), based on a DFT-relaxed cell (PBE, Alexandria).

Structural model:
```
data_YEr2Hg5
_chemical_formula_sum 'Y2 Er4 Hg10'
_symmetry_space_group_name_H-M 'I 4/m m m'
_symmetry_Int_Tables_number 139
_symmetry_space_group_name_Hall '-I 4 2'
_cell_length_a 5.1802
_cell_length_b 5.1802
_cell_length_c 14.5677
_cell_angle_alpha 90.00
_cell_angle_beta 90.00
_cell_angle_gamma 90.00
loop_
_atom_site_label
_atom_site_type_symbol
_atom_site_fract_x
_atom_site_fract_y
_atom_site_fract_z
Y1 Y 0.0000 0.0000 0.0000
Er1 Er 0.0000 0.0000 0.2640
Hg1 Hg 0.0000 0.0000 0.5000
Hg2 Hg 0.0000 0.5000 0.1265
```

Main lines, low angle first (10° ≤ 2θ ≤ 90°):
(2 0 0), 34.6°, I 51.9; (1 1 4), 34.7°, I 100.0; (2 2 0), 49.8°, I 18.8; (0 0 8), 50.1°, I 8.2; (3 1 4), 62.1°, I 37.9; (2 0 8), 62.3°, I 17.2; (2 2 8), 73.3°, I 10.8; (4 2 0), 83.5°, I 17.3

Record 8
Y3Er2Hg7: computed X-ray powder pattern (Cu Kα X-rays), based on a DFT-relaxed cell (PBE, Alexandria).

Structural model:
```
data_Y3Er2Hg7
_chemical_formula_sum 'Y6 Er4 Hg14'
_symmetry_space_group_name_H-M 'C m m m'
_symmetry_Int_Tables_number 65
_symmetry_space_group_name_Hall '-C 2 2'
_cell_length_a 5.1597
_cell_length_b 22.7768
_cell_length_c 5.4439
_cell_angle_alpha 90.00
_cell_angle_beta 90.00
_cell_angle_gamma 90.00
loop_
_atom_site_label
_atom_site_type_symbol
_atom_site_fract_x
_atom_site_fract_y
_atom_site_fract_z
Y1 Y 0.0000 0.0000 0.0000
Y2 Y 0.0000 0.1669 0.0000
Er1 Er 0.0000 0.3560 0.5000
Hg1 Hg 0.0000 0.0759 0.5000
Hg2 Hg 0.0000 0.2223 0.5000
Hg3 Hg 0.0000 0.4147 0.0000
Hg4 Hg 0.0000 0.5000 0.5000
```

Main lines, low angle first (10° ≤ 2θ ≤ 90°):
(0 0 1), 16.3°, I 22.8; (1 5 1), 30.9°, I 21.1; (0 0 2), 32.9°, I 40.7; (2 0 0), 34.8°, I 35.1; (1 7 1), 36.6°, I 100.0; (2 0 2), 48.6°, I 27.5; (1 7 3), 61.2°, I 22.7; (3 7 1), 63.5°, I 20.3

Record 9
ErZnHg3: computed X-ray powder pattern (Cu Kα X-rays), based on a DFT-relaxed cell (PBE, Alexandria).

Structural model:
```
data_ErZnHg3
_chemical_formula_sum 'Er4 Zn4 Hg12'
_symmetry_space_group_name_H-M 'P n m a'
_symmetry_Int_Tables_number 62
_cell_length_a 9.0967
_cell_length_b 4.5634
_cell_length_c 11.0306
_cell_angle_alpha 90.00
_cell_angle_beta 90.00
_cell_angle_gamma 90.00
loop_
_symmetry_equiv_pos_as_xyz
'x,y,z'
'-x,-y,-z'
'-x+1/2,-y,z+1/2'
'x+1/2,y,-z+1/2'
'x+1/2,-y+1/2,-z+1/2'
'-x+1/2,y+1/2,z+1/2'
'-x,y+1/2,-z'
'x,-y+1/2,z'
loop_
_atom_site_label
_atom_site_type_symbol
_atom_site_fract_x
_atom_site_fract_y
_atom_site_fract_z
Er1 Er 0.2280 0.2500 0.0042
Zn1 Zn 0.1246 0.2500 0.3404
Hg1 Hg 0.0526 0.2500 0.5937
Hg2 Hg 0.0763 0.7500 0.8577
Hg3 Hg 0.1456 0.7500 0.1871
```

Main lines, low angle first (10° ≤ 2θ ≤ 90°):
(1 1 2), 27.2°, I 36.1; (2 1 2), 32.2°, I 27.5; (1 1 3), 32.8°, I 100.0; (3 1 1), 36.5°, I 80.8; (2 0 4), 38.2°, I 22.4; (3 1 2), 39.2°, I 26.9; (0 2 0), 39.5°, I 65.9; (5 1 5), 70.1°, I 17.8

Record 10
Er2ZnHg4: computed X-ray powder pattern (Cu Kα X-rays), based on a DFT-relaxed cell (PBE, Alexandria).

Structural model:
```
data_Er2ZnHg4
_chemical_formula_sum 'Er4 Zn2 Hg8'
_symmetry_space_group_name_H-M 'C 1 2/m 1'
_symmetry_Int_Tables_number 12
_cell_length_a 9.0586
_cell_length_b 5.1004
_cell_length_c 7.5897
_cell_angle_alpha 90.00
_cell_angle_beta 109.06
_cell_angle_gamma 90.00
loop_
_symmetry_equiv_pos_as_xyz
'x,y,z'
'-x,-y,-z'
'-x,y,-z'
'x,-y,z'
'x+1/2,y+1/2,z'
'-x+1/2,-y+1/2,-z'
'-x+1/2,y+1/2,-z'
'x+1/2,-y+1/2,z'
loop_
_atom_site_label
_atom_site_type_symbol
_atom_site_fract_x
_atom_site_fract_y
_atom_site_fract_z
Er1 Er 0.2181 0.0000 0.1768
Zn1 Zn 0.0000 0.5000 0.0000
Hg1 Hg 0.0904 0.0000 0.7491
Hg2 Hg 0.1217 0.5000 0.3912
```

Main lines, low angle first (10° ≤ 2θ ≤ 90°):
(0 0 2), 24.8°, I 16.3; (3 1 -1), 34.6°, I 100.0; (1 1 2), 34.9°, I 74.6; (0 2 0), 35.2°, I 48.8; (2 0 -3), 36.6°, I 35.1; (2 2 -3), 51.7°, I 28.6; (4 2 1), 61.0°, I 16.9; (3 3 -1), 62.8°, I 18.1

Record 11
ErZrHg4: computed X-ray powder pattern (Cu Kα X-rays), based on a DFT-relaxed cell (PBE, Alexandria).

Structural model:
```
data_ErZrHg4
_chemical_formula_sum 'Er1 Zr1 Hg4'
_symmetry_space_group_name_H-M 'P 4/m m m'
_symmetry_Int_Tables_number 123
_symmetry_space_group_name_Hall '-P 4 2'
_cell_length_a 3.3707
_cell_length_b 3.3707
_cell_length_c 12.1402
_cell_angle_alpha 90.00
_cell_angle_beta 90.00
_cell_angle_gamma 90.00
loop_
_atom_site_label
_atom_site_type_symbol
_atom_site_fract_x
_atom_site_fract_y
_atom_site_fract_z
Er1 Er 0.0000 0.0000 0.0000
Zr1 Zr 0.5000 0.5000 0.5000
Hg1 Hg 0.0000 0.0000 0.3400
Hg2 Hg 0.5000 0.5000 0.1693
```

Main lines, low angle first (10° ≤ 2θ ≤ 90°):
(1 0 3), 34.6°, I 100.0; (1 1 0), 37.7°, I 40.0; (0 0 6), 44.8°, I 12.1; (2 0 0), 54.4°, I 14.0; (1 1 6), 60.0°, I 21.2; (2 1 3), 66.2°, I 31.2; (2 0 6), 73.1°, I 11.5; (1 0 9), 76.0°, I 10.0

Record 12
Ho6Er5: computed X-ray powder pattern (Cu Kα X-rays), based on a DFT-relaxed cell (PBE, Alexandria).

Structural model:
```
data_Ho6Er5
_chemical_formula_sum 'Ho12 Er10'
_symmetry_space_group_name_H-M 'C 1 2/m 1'
_symmetry_Int_Tables_number 12
_cell_length_a 9.0362
_cell_length_b 12.8493
_cell_length_c 6.2032
_cell_angle_alpha 90.00
_cell_angle_beta 107.53
_cell_angle_gamma 90.00
loop_
_symmetry_equiv_pos_as_xyz
'x,y,z'
'-x,-y,-z'
'-x,y,-z'
'x,-y,z'
'x+1/2,y+1/2,z'
'-x+1/2,-y+1/2,-z'
'-x+1/2,y+1/2,-z'
'x+1/2,-y+1/2,z'
loop_
_atom_site_label
_atom_site_type_symbol
_atom_site_fract_x
_atom_site_fract_y
_atom_site_fract_z
Ho1 Ho 0.1679 0.0000 0.1827
Ho2 Ho 0.1800 0.1334 0.6682
Er1 Er 0.0000 0.2409 0.0000
Er2 Er 0.0000 0.3720 0.5000
Er3 Er 0.0000 0.5000 0.0000
```

Main lines, low angle first (10° ≤ 2θ ≤ 90°):
(1 3 1), 29.4°, I 64.9; (2 0 -2), 31.1°, I 100.0; (0 4 1), 31.7°, I 91.4; (3 1 0), 31.9°, I 70.8; (2 4 -1), 35.4°, I 64.5; (1 1 2), 35.6°, I 53.3; (3 3 -1), 36.9°, I 36.1; (2 4 -3), 53.2°, I 25.5